Entry 1:
This entry pairs a crystal structure of SmHoZn2Sn2 with its simulated powder diffraction line list. Radiation: Cu Ka. Structure: a GGA-PBE-relaxed structure.
Peak positions follow from Bragg's law for the DFT cell and can differ from measured ones.

Cell and atoms:
a b c (Å): 4.5315 4.5315 15.8942
angles (deg): 90.00 90.00 120.00
Space group P6_3/mmc (No. 194)
One atom of each set of equivalent atoms:
1 Sm 0.0000 0.0000 0.2500 x2
2 Ho 0.0000 0.0000 0.0000 x2
3 Zn 0.3333 0.6667 0.1569 x4
4 Sn 0.3333 0.6667 0.6114 x4

Most intense lines, 2θ = 10–90°, sorted by position:
2θ/deg, I (rel.), (hkl)
28.30, 15, 1 0 3
32.06, 100, 1 0 4
39.78, 60, 1 1 0
51.98, 26, 2 0 4
62.14, 17, 1 1 8
67.39, 24, 2 1 4


Entry 2:
This entry pairs a crystal structure of SmHoZn4 with its simulated powder diffraction line list. Radiation: Cu Ka. Structure: a GGA-PBE-relaxed structure.
Peak positions follow from Bragg's law for the DFT cell and can differ from measured ones.

Cell and atoms:
a b c (Å): 3.508 4.487 7.779
angles (deg): 90.00 90.00 90.00
Space group Pmmm (No. 47)
One atom of each set of equivalent atoms:
1 Sm 0.000 0.000 0.000 x1
2 Ho 0.000 0.500 0.500 x1
3 Zn 0.500 0.000 0.337 x2
4 Zn 0.500 0.500 0.171 x2

Most intense lines, 2θ = 10–90°, sorted by position:
2θ/deg, I (rel.), (hkl)
22.87, 19, 0 1 1
34.44, 100, 1 0 2
40.17, 56, 0 2 0
53.93, 27, 1 2 2
67.81, 23, 2 2 0
69.33, 25, 1 1 5


Entry 3:
This entry pairs a crystal structure of Ho5Sn4 with its simulated powder diffraction line list. Radiation: Cu Ka. Structure: a GGA-PBE-relaxed structure.
Peak positions follow from Bragg's law for the DFT cell and can differ from measured ones.

Cell and atoms:
a b c (Å): 9.2909 9.2909 6.5062
angles (deg): 90.00 90.00 120.00
Space group P6_3/mcm (No. 193)
One atom of each set of equivalent atoms:
1 Ho 0.0000 0.2715 0.2500 x6
2 Ho 0.3333 0.6667 0.0000 x4
3 Sn 0.0000 0.0000 0.0000 x2
4 Sn 0.0000 0.3862 0.7500 x6

Most intense lines, 2θ = 10–90°, sorted by position:
2θ/deg, I (rel.), (hkl)
32.50, 56, 2 1 1
33.41, 76, 3 0 0
33.63, 100, 1 1 2
48.14, 28, 2 2 2
59.86, 17, 4 1 2
67.33, 20, 3 0 4


Entry 4:
This entry pairs a crystal structure of Ho11Sn10 with its simulated powder diffraction line list. Radiation: Cu Ka. Structure: a GGA-PBE-relaxed structure.
Peak positions follow from Bragg's law for the DFT cell and can differ from measured ones.

Cell and atoms:
a b c (Å): 11.574 11.574 16.926
angles (deg): 90.00 90.00 90.00
Space group I4/mmm (No. 139)
One atom of each set of equivalent atoms:
1 Ho 0.000 0.000 0.167 x4
2 Ho 0.000 0.251 0.312 x16
3 Ho 0.000 0.332 0.102 x16
4 Ho 0.174 0.174 0.500 x8
5 Sn 0.000 0.000 0.388 x4
6 Sn 0.000 0.355 0.500 x8
7 Sn 0.000 0.500 0.250 x4
8 Sn 0.130 0.130 0.000 x8
9 Sn 0.206 0.206 0.176 x16

Most intense lines, 2θ = 10–90°, sorted by position:
2θ/deg, I (rel.), (hkl)
31.58, 89, 2 1 5
32.08, 100, 3 2 3
32.34, 51, 3 1 4
32.71, 53, 4 0 2
32.83, 74, 3 3 0
35.27, 48, 3 0 5